For Mn3InI8, a cell relaxed with PBE gives the calculated PXRD pattern in this record (a wavelength of 1.5418 Å).

Structural model:
```
data_Mn3InI8
_chemical_formula_sum 'Mn3 In1 I8'
_cell_length_a 8.496
_cell_length_b 8.496
_cell_length_c 8.980
_cell_angle_alpha 118.77
_cell_angle_beta 118.77
_cell_angle_gamma 60.01
_space_group_name_H-M_alt 'P 1'
_space_group_IT_number 1
loop_
_space_group_symop_operation_xyz
'x,y,z'
loop_
_atom_site_label
_atom_site_fract_x
_atom_site_fract_y
_atom_site_fract_z
Mn1 0.000 0.000 0.000
Mn2 0.000 0.500 0.000
Mn3 0.500 0.000 0.000
In1 0.500 0.500 0.000
I1 0.224 0.752 0.224
I2 0.241 0.241 0.220
I3 0.248 0.248 0.776
I4 0.248 0.776 0.776
I5 0.752 0.224 0.224
I6 0.752 0.752 0.224
I7 0.759 0.759 0.780
I8 0.776 0.248 0.776
```

Top 6 peaks for 10 to 90 degrees two-theta, in order of rising 2θ:
d [Å]  I (rel.)
7.466  55.2
3.489  43.3
3.083  100.0
3.058  49.8
2.222  35.6
2.124  52.2